Record 1
# MgZnCrSn
Theoretical X-ray powder pattern, Cu Ka. Input: a cell relaxed with GGA-PBE.
Kinematic intensities with the Lorentz-polarization factor, no thermal factor.

Largest 6 diffraction maxima, sorted by position, 5° ≤ 2θ ≤ 70°:
- 2θ 21.9, rel. 43
- 2θ 27.6, rel. 30
- 2θ 29.4, rel. 41
- 2θ 39.0, rel. 100
- 2θ 42.3, rel. 25
- 2θ 46.2, rel. 35

Atomic structure:
```
data_MgZnCrSn
_chemical_formula_sum 'Mg1 Zn1 Cr1 Sn1'
_symmetry_space_group_name_H-M 'P 1'
_symmetry_Int_Tables_number 1
_cell_length_a 6.9720
_cell_length_b 6.9720
_cell_length_c 6.9720
_cell_angle_alpha 154.85
_cell_angle_beta 144.32
_cell_angle_gamma 44.15
loop_
_symmetry_equiv_pos_as_xyz
'x,y,z'
loop_
_atom_site_label
_atom_site_type_symbol
_atom_site_fract_x
_atom_site_fract_y
_atom_site_fract_z
Mg1 Mg 0.0000 0.0000 0.0000
Zn1 Zn 0.6651 0.1651 0.5000
Cr1 Cr 0.1906 0.6906 0.5000
Sn1 Sn 0.3721 0.3721 0.0000
```

***

Record 2
# Tm3ZnSi2
Theoretical X-ray powder pattern, Cu Ka. Input: a cell relaxed with GGA-PBE.
Kinematic intensities with the Lorentz-polarization factor, no thermal factor.

Largest 6 diffraction maxima, sorted by position, 5° ≤ 2θ ≤ 70°:
- 2θ 28.0, rel. 56
- 2θ 31.3, rel. 52
- 2θ 32.2, rel. 100
- 2θ 32.8, rel. 47
- 2θ 36.2, rel. 94
- 2θ 43.8, rel. 48

Atomic structure:
```
data_Tm3ZnSi2
_chemical_formula_sum 'Tm12 Zn4 Si8'
_symmetry_space_group_name_H-M 'P 1'
_symmetry_Int_Tables_number 1
_cell_length_a 11.1919
_cell_length_b 4.1300
_cell_length_c 11.2630
_cell_angle_alpha 90.00
_cell_angle_beta 90.00
_cell_angle_gamma 90.00
loop_
_symmetry_equiv_pos_as_xyz
'x,y,z'
loop_
_atom_site_label
_atom_site_type_symbol
_atom_site_fract_x
_atom_site_fract_y
_atom_site_fract_z
Tm1 Tm 0.0547 0.2500 0.1222
Tm2 Tm 0.1293 0.7500 0.5659
Tm3 Tm 0.2037 0.2500 0.8028
Tm4 Tm 0.2963 0.7500 0.3028
Tm5 Tm 0.3707 0.2500 0.0659
Tm6 Tm 0.4453 0.7500 0.6222
Tm7 Tm 0.5547 0.2500 0.3778
Tm8 Tm 0.6293 0.7500 0.9341
Tm9 Tm 0.7037 0.2500 0.6972
Tm10 Tm 0.7963 0.7500 0.1972
Tm11 Tm 0.8707 0.2500 0.4341
Tm12 Tm 0.9453 0.7500 0.8778
Zn1 Zn 0.1354 0.2500 0.3655
Zn2 Zn 0.3646 0.7500 0.8655
Zn3 Zn 0.6354 0.2500 0.1345
Zn4 Zn 0.8646 0.7500 0.6345
Si1 Si 0.0203 0.7500 0.3194
Si2 Si 0.1859 0.7500 0.9997
Si3 Si 0.3141 0.2500 0.4997
Si4 Si 0.4797 0.2500 0.8194
Si5 Si 0.5203 0.7500 0.1806
Si6 Si 0.6859 0.7500 0.5003
Si7 Si 0.8141 0.2500 0.0003
Si8 Si 0.9797 0.2500 0.6806
```